Structure and theoretical powder diffractogram of ZnGaFeO4 (a structure optimized by DFT (GGA+U); Cu Kα X-rays).
Lines closer than 0.1° are merged.

Cell and atoms:
```
data_ZnGaFeO4
_chemical_formula_sum 'Zn4 Ga4 Fe4 O16'
_cell_length_a 6.002
_cell_length_b 6.011
_cell_length_c 8.510
_cell_angle_alpha 90.00
_cell_angle_beta 90.00
_cell_angle_gamma 90.00
_space_group_name_H-M_alt 'I m m a'
_space_group_IT_number 74
_space_group_name_Hall '-I 2b 2'
loop_
_atom_site_label
_atom_site_type_symbol
_atom_site_fract_x
_atom_site_fract_y
_atom_site_fract_z
_atom_site_occupancy
Zn1 Zn 0.000 0.250 0.124 1
Ga1 Ga 0.250 0.250 0.750 1
Fe1 Fe 0.000 0.000 0.500 1
O1 O 0.000 0.024 0.740 1
O2 O 0.230 0.250 0.512 1
```

Top 10 peaks for 2θ from 10° to 80°, in order of falling intensity:
35.01°, intensity 100, (0 1 3); 61.72°, intensity 36, (2 2 4); 29.73°, intensity 32, (0 2 0); 56.22°, intensity 28, (2 3 1); 42.54°, intensity 16, (2 2 0); 52.76°, intensity 11, (2 0 4); 36.62°, intensity 11, (2 0 2); 56.29°, intensity 9, (3 2 1); 18.07°, intensity 9, (0 1 1); 61.83°, intensity 7, (4 0 0)